Structure and theoretical powder XRD pattern of In4I2BrCl (a PBE-relaxed structure; CuKα).
Neutral-atom scattering factors, no anomalous dispersion.

Cell and atoms:
```
data_In4I2BrCl
_space_group_name_H-M_alt 'C 1 2/c 1'
_space_group_IT_number 15
_cell_length_a 13.5749
_cell_length_b 13.6033
_cell_length_c 9.5828
_cell_angle_alpha 90.00
_cell_angle_beta 134.86
_cell_angle_gamma 90.00
loop_
_space_group_symop_operation_xyz
'x,y,z'
'-x,-y,-z'
'-x,y,-z+1/2'
'x,-y,z+1/2'
'x+1/2,y+1/2,z'
'-x+1/2,-y+1/2,-z'
'-x+1/2,y+1/2,-z+1/2'
'x+1/2,-y+1/2,z+1/2'
loop_
_atom_site_label
_atom_site_type_symbol
_atom_site_fract_x
_atom_site_fract_y
_atom_site_fract_z
In1 In 0.9997 0.2396 0.0106
In2 In 0.2325 0.0054 0.4840
I1 I 0.0000 0.5000 0.0000
I2 I 0.2500 0.2500 0.0000
Br1 Br 0.2500 0.2500 0.5000
Cl1 Cl 0.0000 0.0000 0.0000
```

Top 6 peaks for 2θ from 10° to 90°, by angle:
d (Å)  two_theta  I_rel  index
3.397  26.23  100  0 0 2
2.403  37.42  63  0 4 2
2.396  37.54  13  4 0 -4
1.964  46.22  13  4 4 0
1.959  46.36  13  4 4 -4
1.520  60.94  22  0 4 4

Structure and theoretical powder XRD pattern of Ba5Cd (a PBE-relaxed structure; CuKα).
Neutral-atom scattering factors, no anomalous dispersion.

Cell and atoms:
```
data_Ba5Cd
_space_group_name_H-M_alt 'C 1 2/m 1'
_space_group_IT_number 12
_cell_length_a 15.1671
_cell_length_b 4.3948
_cell_length_c 10.7620
_cell_angle_alpha 90.00
_cell_angle_beta 113.09
_cell_angle_gamma 90.00
loop_
_space_group_symop_operation_xyz
'x,y,z'
'-x,-y,-z'
'-x,y,-z'
'x,-y,z'
'x+1/2,y+1/2,z'
'-x+1/2,-y+1/2,-z'
'-x+1/2,y+1/2,-z'
'x+1/2,-y+1/2,z'
loop_
_atom_site_label
_atom_site_type_symbol
_atom_site_fract_x
_atom_site_fract_y
_atom_site_fract_z
Ba1 Ba 0.0000 0.0000 0.0000
Ba2 Ba 0.1300 0.5000 0.3697
Ba3 Ba 0.1652 0.5000 0.7804
Cd1 Cd 0.0000 0.0000 0.5000
```

Top 6 peaks for 2θ from 10° to 90°, by angle:
d (Å)  two_theta  I_rel  index
3.590  24.80  34  4 0 -2
3.574  24.92  24  2 0 -3
3.449  25.83  61  2 0 2
3.403  26.19  100  1 1 -2
3.194  27.93  99  3 1 0
2.313  38.93  23  5 1 -3

Structure and theoretical powder XRD pattern of In8Sn6Hg (a PBE-relaxed structure; CuKα).
Neutral-atom scattering factors, no anomalous dispersion.

Cell and atoms:
```
data_In8Sn6Hg
_space_group_name_H-M_alt 'R -3'
_space_group_IT_number 148
_space_group_name_Hall '-R 3'
_cell_length_a 9.6280
_cell_length_b 9.6280
_cell_length_c 15.8389
_cell_angle_alpha 90.00
_cell_angle_beta 90.00
_cell_angle_gamma 120.00
loop_
_atom_site_label
_atom_site_type_symbol
_atom_site_fract_x
_atom_site_fract_y
_atom_site_fract_z
In1 In 0.0000 0.0000 0.2247
In2 In 0.0271 0.7431 0.8999
Sn1 Sn 0.0211 0.8191 0.4019
Hg1 Hg 0.0000 0.0000 0.0000
```

Top 6 peaks for 2θ from 10° to 90°, by angle:
d (Å)  two_theta  I_rel  index
2.961  30.18  24  0 1 5
2.928  30.53  100  1 2 2
2.466  36.44  85  3 -1 4
2.288  39.38  27  1 3 1
2.190  41.22  30  2 2 3
1.820  50.14  23  4 1 0

Structure and theoretical powder XRD pattern of Tb2Ge5Ir3 (a PBE-relaxed structure; CuKα).
Neutral-atom scattering factors, no anomalous dispersion.

Cell and atoms:
```
data_Tb2Ge5Ir3
_space_group_name_H-M_alt 'C m c 21'
_space_group_IT_number 36
_cell_length_a 4.2316
_cell_length_b 24.7853
_cell_length_c 6.8973
_cell_angle_alpha 90.00
_cell_angle_beta 90.00
_cell_angle_gamma 90.00
loop_
_space_group_symop_operation_xyz
'x,y,z'
'-x,-y,z+1/2'
'-x,y,z'
'x,-y,z+1/2'
'x+1/2,y+1/2,z'
'-x+1/2,-y+1/2,z+1/2'
'-x+1/2,y+1/2,z'
'x+1/2,-y+1/2,z+1/2'
loop_
_atom_site_label
_atom_site_type_symbol
_atom_site_fract_x
_atom_site_fract_y
_atom_site_fract_z
Tb1 Tb 0.0000 0.0204 0.0000
Tb2 Tb 0.0000 0.3242 0.9994
Ge1 Ge 0.0000 0.1003 0.3624
Ge2 Ge 0.0000 0.2059 0.7965
Ge3 Ge 0.0000 0.2085 0.2210
Ge4 Ge 0.0000 0.3817 0.4772
Ge5 Ge 0.0000 0.4519 0.1624
Ir1 Ir 0.0000 0.1061 0.7308
Ir2 Ir 0.0000 0.2785 0.5099
Ir3 Ir 0.0000 0.4460 0.7815
```

Top 6 peaks for 2θ from 10° to 90°, by angle:
d (Å)  two_theta  I_rel  index
2.543  35.29  100  1 3 2
2.527  35.53  55  1 7 1
2.332  38.60  25  0 10 1
2.308  39.03  24  1 9 0
2.116  42.74  44  2 0 0
1.918  47.39  23  1 9 2

Structure and theoretical powder XRD pattern of Sr2CaI6 (a PBE-relaxed structure; CuKα).
Neutral-atom scattering factors, no anomalous dispersion.

Cell and atoms:
```
data_Sr2CaI6
_space_group_name_H-M_alt 'P -4 b 2'
_space_group_IT_number 117
_cell_length_a 8.0464
_cell_length_b 8.0464
_cell_length_c 24.0158
_cell_angle_alpha 90.00
_cell_angle_beta 90.00
_cell_angle_gamma 90.00
loop_
_space_group_symop_operation_xyz
'x,y,z'
'y,-x,-z'
'-x,-y,z'
'-y,x,-z'
'-x+1/2,y+1/2,z'
'-y+1/2,-x+1/2,-z'
'x+1/2,-y+1/2,z'
'y+1/2,x+1/2,-z'
loop_
_atom_site_label
_atom_site_type_symbol
_atom_site_fract_x
_atom_site_fract_y
_atom_site_fract_z
Sr1 Sr 0.0000 0.0000 0.1659
Sr2 Sr 0.0000 0.5000 0.3357
Ca1 Ca 0.0000 0.0000 0.5000
Ca2 Ca 0.0000 0.5000 0.0000
I1 I 0.2044 0.2084 0.5840
I2 I 0.2088 0.2831 0.9160
I3 I 0.2244 0.7503 0.7496
```

Top 6 peaks for 2θ from 10° to 90°, by angle:
d (Å)  two_theta  I_rel  index
4.638  19.14  14  1 1 3
4.023  22.09  23  2 0 0
4.003  22.21  15  0 0 6
2.840  31.50  100  2 0 6
1.641  56.04  15  4 2 6
1.637  56.20  14  2 2 12

Structure and theoretical powder XRD pattern of Li3LaZn9 (a PBE-relaxed structure; CuKα).
Neutral-atom scattering factors, no anomalous dispersion.

Cell and atoms:
```
data_Li3LaZn9
_space_group_name_H-M_alt 'C 1 2/m 1'
_space_group_IT_number 12
_cell_length_a 4.9110
_cell_length_b 13.1185
_cell_length_c 6.9708
_cell_angle_alpha 90.00
_cell_angle_beta 109.44
_cell_angle_gamma 90.00
loop_
_space_group_symop_operation_xyz
'x,y,z'
'-x,-y,-z'
'-x,y,-z'
'x,-y,z'
'x+1/2,y+1/2,z'
'-x+1/2,-y+1/2,-z'
'-x+1/2,y+1/2,-z'
'x+1/2,-y+1/2,z'
loop_
_atom_site_label
_atom_site_type_symbol
_atom_site_fract_x
_atom_site_fract_y
_atom_site_fract_z
Li1 Li 0.0000 0.0000 0.0000
Li2 Li 0.2500 0.2500 0.5000
La1 La 0.0000 0.0000 0.5000
Zn1 Zn 0.0000 0.5000 0.0000
Zn2 Zn 0.1069 0.3855 0.7250
Zn3 Zn 0.1617 0.1787 0.8549
```

Top 6 peaks for 2θ from 10° to 90°, by angle:
d (Å)  two_theta  I_rel  index
4.643  19.11  65  0 2 1
2.636  34.01  92  1 3 1
2.455  36.60  89  2 0 -1
2.322  38.79  100  0 4 2
2.275  39.61  83  1 5 -1
2.264  39.82  92  1 1 -3

Structure and theoretical powder XRD pattern of Tb5Er4Pu (a PBE-relaxed structure; CuKα).
Neutral-atom scattering factors, no anomalous dispersion.

Cell and atoms:
```
data_Tb5Er4Pu
_space_group_name_H-M_alt 'C 1 2/m 1'
_space_group_IT_number 12
_cell_length_a 17.5998
_cell_length_b 4.8961
_cell_length_c 8.6099
_cell_angle_alpha 90.00
_cell_angle_beta 117.10
_cell_angle_gamma 90.00
loop_
_space_group_symop_operation_xyz
'x,y,z'
'-x,-y,-z'
'-x,y,-z'
'x,-y,z'
'x+1/2,y+1/2,z'
'-x+1/2,-y+1/2,-z'
'-x+1/2,y+1/2,-z'
'x+1/2,-y+1/2,z'
loop_
_atom_site_label
_atom_site_type_symbol
_atom_site_fract_x
_atom_site_fract_y
_atom_site_fract_z
Tb1 Tb 0.0000 0.0000 0.0000
Tb2 Tb 0.1633 0.5000 0.7090
Tb3 Tb 0.1710 0.5000 0.1188
Er1 Er 0.0292 0.5000 0.2809
Er2 Er 0.1755 0.0000 0.4263
Pu1 Pu 0.0000 0.0000 0.5000
```

Top 6 peaks for 2θ from 10° to 90°, by angle:
d (Å)  two_theta  I_rel  index
2.855  31.33  31  5 1 -1
2.784  32.16  100  1 1 2
2.714  33.01  88  5 1 -2
2.611  34.34  39  6 0 0
2.448  36.71  42  0 2 0
1.786  51.15  25  6 2 0